# CaV2Ni2P4O18
Calculated X-ray powder pattern, copper Kα. Input: DFT lattice parameters and positions (PBE+U).
Intensities are scaled so that the largest is 100.

The 8 most intense peaks (10 to 90 degrees two-theta), by angle:
h k l, 2theta, I_rel
0 0 2, 12.75, 58.2
0 1 1, 12.93, 45.5
0 1 2, 17.03, 69.6
1 1 1, 19.01, 52.6
0 2 1, 23.50, 100.0
0 1 4, 28.09, 34.0
2 1 1, 30.91, 85.5
0 1 5, 34.23, 34.1

Atomic structure:
Cell lengths 6.3805, 7.8678, 13.8904 Å; angles 90.00, 90.00, 90.00 degrees
Space group Pmc2_1 (No. 26)
Asymmetric unit:
Ca 0.0000 0.0843 0.0000 (multiplicity 2)
V 0.0000 0.4061 0.4026 (multiplicity 2)
V 0.5000 0.0952 0.1696 (multiplicity 2)
Ni 0.2529 0.2555 0.7831 (multiplicity 4)
P 0.0000 0.0922 0.2304 (multiplicity 2)
P 0.0000 0.3349 0.5924 (multiplicity 2)
P 0.5000 0.1673 0.9846 (multiplicity 2)
P 0.5000 0.4026 0.3425 (multiplicity 2)
O 0.0000 0.0773 0.7866 (multiplicity 2)
O 0.0000 0.2048 0.5052 (multiplicity 2)
O 0.0000 0.2421 0.2996 (multiplicity 2)
O 0.0000 0.4094 0.8384 (multiplicity 2)
O 0.0000 0.4960 0.0251 (multiplicity 2)
O 0.1882 0.1023 0.1589 (multiplicity 4)
O 0.2009 0.3271 0.6499 (multiplicity 4)
O 0.3000 0.1748 0.9231 (multiplicity 4)
O 0.3019 0.3806 0.4044 (multiplicity 4)
O 0.5000 0.0071 0.5443 (multiplicity 2)
O 0.5000 0.0867 0.7359 (multiplicity 2)
O 0.5000 0.2568 0.2662 (multiplicity 2)
O 0.5000 0.2910 0.0711 (multiplicity 2)
O 0.5000 0.4211 0.7951 (multiplicity 2)